No. 1
Starting from a GGA-PBE-relaxed structure, the X-ray powder pattern of AcSm3 was simulated for Cu Kα, 1.54184 Å.
Kinematic intensities with the Lorentz-polarization factor, no thermal factor.

Main lines, in order of rising 2θ (2θ = 15–90°):
d 3.229, rel. 23, (2 0 0)
d 3.046, rel. 27, (0 0 2)
d 2.853, rel. 100, (2 0 1)
d 2.216, rel. 16, (2 0 2)
d 1.864, rel. 19, (2 2 0)
d 1.719, rel. 24, (2 0 3)
d 1.590, rel. 23, (2 2 2)
d 1.561, rel. 17, (4 0 1)
d 1.197, rel. 14, (4 2 1)
d 1.179, rel. 9, (2 2 4)

Structural model:
```
data_AcSm3
_chemical_formula_sum 'Ac2 Sm6'
_space_group_name_H-M_alt 'P 63/m m c'
_space_group_IT_number 194
_space_group_name_Hall '-P 6c 2c'
_cell_length_a 7.4569
_cell_length_b 7.4569
_cell_length_c 6.0923
_cell_angle_alpha 90.00
_cell_angle_beta 90.00
_cell_angle_gamma 120.00
loop_
_atom_site_label
_atom_site_type_symbol
_atom_site_fract_x
_atom_site_fract_y
_atom_site_fract_z
Ac1 Ac 0.3333 0.6667 0.2500
Sm1 Sm 0.1624 0.3248 0.7500
```

No. 2
Starting from a GGA-PBE-relaxed structure, the X-ray powder pattern of Co3Pb3N5 was simulated for Cu Kα, 1.54184 Å.
Kinematic intensities with the Lorentz-polarization factor, no thermal factor.

Main lines, in order of rising 2θ (2θ = 15–90°):
d 4.045, rel. 30, (1 1 0)
d 2.992, rel. 83, (1 -1 2)
d 2.864, rel. 100, (0 2 1)
d 2.798, rel. 34, (2 0 0)
d 2.770, rel. 94, (1 2 -2)
d 2.703, rel. 75, (-2 1 1)
d 2.517, rel. 75, (1 0 -3)
d 2.453, rel. 46, (2 1 0)
d 2.378, rel. 56, (1 -3 1)
d 1.483, rel. 27, (2 2 -5)

Structural model:
```
data_Co3Pb3N5
_chemical_formula_sum 'Co6 Pb6 N10'
_space_group_name_H-M_alt 'P -1'
_space_group_IT_number 2
_space_group_name_Hall '-P 1'
_cell_length_a 5.7954
_cell_length_b 7.5218
_cell_length_c 8.0818
_cell_angle_alpha 107.01
_cell_angle_beta 100.92
_cell_angle_gamma 96.63
loop_
_atom_site_label
_atom_site_type_symbol
_atom_site_fract_x
_atom_site_fract_y
_atom_site_fract_z
Co1 Co 0.0899 0.1863 0.0250
Co2 Co 0.1212 0.4288 0.7329
Co3 Co 0.3254 0.5164 0.4071
Pb1 Pb 0.2347 0.0488 0.4223
Pb2 Pb 0.2949 0.8318 0.7494
Pb3 Pb 0.3605 0.6734 0.1198
N1 N 0.0615 0.3624 0.2291
N2 N 0.1644 0.7187 0.4059
N3 N 0.1917 0.9844 0.1070
N4 N 0.1981 0.3137 0.8962
N5 N 0.3644 0.4778 0.6262
```

No. 3
Starting from a GGA-PBE-relaxed structure, the X-ray powder pattern of Er2CuIr was simulated for Cu Kα, 1.54184 Å.
Kinematic intensities with the Lorentz-polarization factor, no thermal factor.

Main lines, in order of rising 2θ (2θ = 15–90°):
d 3.942, rel. 10, (1 1 1)
d 3.414, rel. 2, (2 0 0)
d 2.414, rel. 100, (2 2 0)
d 2.059, rel. 5, (3 1 1)
d 1.707, rel. 17, (4 0 0)
d 1.566, rel. 2, (3 3 1)
d 1.394, rel. 36, (4 2 2)
d 1.314, rel. 2, (5 1 1)
d 1.207, rel. 11, (4 4 0)
d 1.154, rel. 2, (5 3 1)

Structural model:
```
data_Er2CuIr
_chemical_formula_sum 'Er8 Cu4 Ir4'
_space_group_name_H-M_alt 'F m -3 m'
_space_group_IT_number 225
_space_group_name_Hall '-F 4 2 3'
_cell_length_a 6.8280
_cell_length_b 6.8280
_cell_length_c 6.8280
_cell_angle_alpha 90.00
_cell_angle_beta 90.00
_cell_angle_gamma 90.00
loop_
_atom_site_label
_atom_site_type_symbol
_atom_site_fract_x
_atom_site_fract_y
_atom_site_fract_z
Er1 Er 0.2500 0.2500 0.2500
Cu1 Cu 0.0000 0.0000 0.0000
Ir1 Ir 0.0000 0.0000 0.5000
```

No. 4
Starting from a GGA-PBE-relaxed structure, the X-ray powder pattern of ZnBi2P2O9 was simulated for Cu Kα, 1.54184 Å.
Kinematic intensities with the Lorentz-polarization factor, no thermal factor.

Main lines, in order of rising 2θ (2θ = 15–90°):
d 5.425, rel. 32, (2 0 1)
d 5.284, rel. 24, (2 1 0)
d 4.300, rel. 71, (3 0 1)
d 3.737, rel. 38, (0 0 2)
d 3.637, rel. 38, (1 0 2)
d 3.243, rel. 39, (2 2 0)
d 3.149, rel. 100, (1 2 1)
d 2.906, rel. 50, (5 0 1)
d 2.450, rel. 31, (2 2 2)
d 1.689, rel. 25, (4 0 4)

Structural model:
```
data_ZnBi2P2O9
_chemical_formula_sum 'Zn4 Bi8 P8 O36'
_space_group_name_H-M_alt 'P n m a'
_space_group_IT_number 62
_space_group_name_Hall '-P 2ac 2n'
_cell_length_a 15.7695
_cell_length_b 7.1187
_cell_length_c 7.4746
_cell_angle_alpha 90.00
_cell_angle_beta 90.00
_cell_angle_gamma 90.00
loop_
_atom_site_label
_atom_site_type_symbol
_atom_site_fract_x
_atom_site_fract_y
_atom_site_fract_z
Zn1 Zn 0.2427 0.2500 0.0394
Bi1 Bi 0.0000 0.0000 0.0000
Bi2 Bi 0.1197 0.2500 0.6023
P1 P 0.0886 0.7500 0.6165
P2 P 0.1892 0.7500 0.1150
O1 O 0.0312 0.7500 0.4539
O2 O 0.0329 0.7500 0.7908
O3 O 0.0760 0.2500 0.8820
O4 O 0.1364 0.5656 0.1248
O5 O 0.1524 0.5800 0.6186
O6 O 0.2449 0.2500 0.7790
O7 O 0.2483 0.7500 0.9508
```